1.
Na4CaZr2TiSi4O16F2: calculated powder diffractogram (Cu Kα, 1.54184 Å), based on a structure optimized by DFT (GGA-PBE).

Most intense lines, 2θ from 15° to 90°, in order of falling intensity:
h k l, 2θ/deg, Rel. int.
1 2 1, 30.54, 100
0 0 6, 29.34, 62
2 0 -4, 33.76, 28
1 2 7, 48.76, 27
1 2 -5, 36.21, 23
0 4 0, 50.73, 20
1 1 1, 21.56, 18
3 2 -3, 54.68, 17
1 1 -4, 25.51, 16
2 2 -1, 40.37, 15

Cell and atoms:
a b c (Å): 5.715 7.199 18.734
angles (deg): 90.00 102.80 90.00
Space group P2/c (No. 13)
Unique sites:
Na (0.000, 0.123, 0.250) [2 per cell]
Na (0.209, 0.115, 0.070) [4 per cell]
Na (0.500, 0.357, 0.250) [2 per cell]
Ca (0.500, 0.140, 0.750) [2 per cell]
Zr (0.201, 0.381, 0.575) [4 per cell]
Ti (0.000, 0.391, 0.750) [2 per cell]
Si (0.267, 0.114, 0.895) [4 per cell]
Si (0.278, 0.342, 0.395) [4 per cell]
O (0.072, 0.174, 0.942) [4 per cell]
O (0.098, 0.409, 0.449) [4 per cell]
O (0.181, 0.416, 0.311) [4 per cell]
O (0.192, 0.188, 0.810) [4 per cell]
O (0.228, 0.378, 0.685) [4 per cell]
O (0.263, 0.115, 0.390) [4 per cell]
O (0.443, 0.403, 0.077) [4 per cell]
O (0.454, 0.178, 0.571) [4 per cell]
F (0.296, 0.101, 0.191) [4 per cell]

2.
NaCaSnF5: calculated powder diffractogram (Cu Kα, 1.54184 Å), based on a structure optimized by DFT (GGA-PBE).

Most intense lines, 2θ from 15° to 90°, in order of falling intensity:
h k l, 2θ/deg, Rel. int.
2 0 -2, 24.05, 100
1 1 1, 22.04, 81
1 1 0, 15.04, 77
1 3 -1, 31.58, 67
3 3 -3, 47.31, 49
2 0 2, 40.20, 43
0 0 2, 23.19, 42
0 2 1, 22.53, 40
3 3 -1, 43.30, 34
3 3 1, 52.00, 32

Cell and atoms:
a b c (Å): 8.646 9.201 8.663
angles (deg): 90.00 117.55 90.00
Space group C2/c (No. 15)
Unique sites:
Na (0.000, 0.043, 0.250) [4 per cell]
Ca (0.250, 0.250, 0.000) [4 per cell]
Sn (0.000, 0.426, 0.250) [4 per cell]
F (0.000, 0.217, 0.750) [4 per cell]
F (0.094, 0.247, 0.156) [8 per cell]
F (0.245, 0.499, 0.008) [8 per cell]